For MoIrW, DFT lattice parameters and positions (GGA-PBE) gives the theoretical PXRD pattern in this record (Cu Kα).
Lines closer than 0.1° are merged.

Principal peaks in the range 15° ≤ 2θ ≤ 90°, by angle:
- 3.151 Å, 2θ 28.33, rel. 14
- 2.755 Å, 2θ 32.51, rel. 3
- 2.238 Å, 2θ 40.29, rel. 99
- 2.217 Å, 2θ 40.69, rel. 100
- 1.813 Å, 2θ 50.32, rel. 3
- 1.727 Å, 2θ 53.01, rel. 5
- 1.575 Å, 2θ 58.60, rel. 33
- 1.377 Å, 2θ 68.08, rel. 7
- 1.284 Å, 2θ 73.78, rel. 34
- 1.280 Å, 2θ 74.05, rel. 17
- 1.170 Å, 2θ 82.44, rel. 26
- 1.109 Å, 2θ 88.11, rel. 12

Lattice parameters (Å, degrees): 4.435 4.435 5.509 90.00 90.00 120.00
Fractional coordinates of all 6 atoms:
1 Mo 0.333 0.667 0.250
2 Mo 0.667 0.333 0.750
3 Ir 0.333 0.667 0.750
4 Ir 0.667 0.333 0.250
5 W 0.000 0.000 0.000
6 W 0.000 0.000 0.500